Y2Cr3O9: computed X-ray diffraction stick pattern (Cu Kα, 1.54184 Å), based on a cell relaxed with GGA+U.
No peak broadening, texture or thermal motion is included.

Structural model:
```
data_Y2Cr3O9
_cell_length_a 5.254
_cell_length_b 7.552
_cell_length_c 16.325
_cell_angle_alpha 90.11
_cell_angle_beta 90.17
_cell_angle_gamma 90.11
_space_group_name_H-M_alt 'P -1'
_space_group_IT_number 2
_space_group_name_Hall '-P 1'
loop_
_atom_site_label
_atom_site_fract_x
_atom_site_fract_y
_atom_site_fract_z
Y1 0.011 0.249 0.017
Y2 0.017 0.255 0.687
Y3 0.481 0.255 0.188
Y4 0.488 0.252 0.517
Cr1 0.000 0.000 0.500
Cr2 0.000 0.500 0.500
Cr3 0.005 0.490 0.834
Cr4 0.012 0.005 0.834
Cr5 0.490 0.004 0.335
Cr6 0.494 0.490 0.335
Cr7 0.500 0.000 0.000
Cr8 0.500 0.500 0.000
O1 0.072 0.754 0.171
O2 0.083 0.744 0.507
O3 0.103 0.749 0.845
O4 0.192 0.034 0.937
O5 0.194 0.467 0.937
O6 0.213 0.465 0.264
O7 0.214 0.065 0.598
O8 0.216 0.439 0.598
O9 0.223 0.041 0.262
O10 0.280 0.035 0.760
O11 0.283 0.437 0.097
O12 0.284 0.064 0.097
O13 0.285 0.465 0.764
O14 0.312 0.467 0.438
O15 0.317 0.034 0.435
O16 0.397 0.748 0.345
O17 0.417 0.751 0.008
O18 0.422 0.744 0.674
```

Largest 10 diffraction maxima, by intensity, 10 to 80 degrees two-theta:
2θ = 33.5°, I 100.0, (1 2 -3)
2θ = 48.2°, I 35.0, (0 4 0)
2θ = 16.0°, I 30.0, (0 1 -2)
2θ = 21.3°, I 26.6, (1 1 1)
2θ = 32.9°, I 23.1, (0 0 6)
2θ = 34.1°, I 23.1, (2 0 0)
2θ = 48.1°, I 15.5, (2 0 -6)
2θ = 17.7°, I 12.1, (1 0 1)
2θ = 60.7°, I 12.1, (3 -2 3)
2θ = 70.4°, I 10.7, (2 -4 6)